[1]
Computed X-ray diffraction stick pattern
Compound: TiV12Ga3
Radiation: CuKα
Structure: a crystal structure in Alexandria, relaxed with GGA-PBE
Peak positions follow from Bragg's law for the DFT cell and can differ from measured ones.

Cell and atoms:
a = 4.7703 Å, b = 4.8276 Å, c = 9.5966 Å
α = 90.00°, β = 90.00°, γ = 90.00°
Element x y z (fractional)
Ti 0.0000 0.0000 0.0000
V 0.0000 0.2457 0.2513
V 0.0000 0.2457 0.7487
V 0.0000 0.7543 0.2513
V 0.0000 0.7543 0.7487
V 0.2459 0.5000 0.5000
V 0.2471 0.5000 0.0000
V 0.5000 0.0000 0.1273
V 0.5000 0.0000 0.3767
V 0.5000 0.0000 0.6233
V 0.5000 0.0000 0.8727
V 0.7529 0.5000 0.0000
V 0.7541 0.5000 0.5000
Ga 0.0000 0.0000 0.5000
Ga 0.5000 0.5000 0.2508
Ga 0.5000 0.5000 0.7492

Peak list (10 most intense, 2θ = 10–90°, by angle)
- d = 2.414 Å, I 47
- d = 2.399 Å, I 46
- d = 2.385 Å, I 45
- d = 2.155 Å, I 94
- d = 2.148 Å, I 52
- d = 2.137 Å, I 95
- d = 1.965 Å, I 100
- d = 1.959 Å, I 97
- d = 1.953 Å, I 93
- d = 1.285 Å, I 46


[2]
Computed X-ray diffraction stick pattern
Compound: GdTiFe9Si2
Radiation: CuKα
Structure: a crystal structure in Alexandria, relaxed with GGA-PBE
Peak positions follow from Bragg's law for the DFT cell and can differ from measured ones.

Cell and atoms:
a = 6.3162 Å, b = 6.3162 Å, c = 8.3133 Å
α = 130.40°, β = 130.40°, γ = 44.86°
Element x y z (fractional)
Gd 0.0000 0.0000 0.0000
Ti 0.3787 0.3787 0.3829
Fe 0.0045 0.0045 0.6474
Fe 0.2750 0.2750 0.7737
Fe 0.5020 0.9989 0.5022
Fe 0.5029 0.5029 0.2152
Fe 0.5032 0.5032 0.7956
Fe 0.6507 0.6507 0.6549
Fe 0.7313 0.7313 0.2310
Fe 0.9982 0.9982 0.3533
Fe 0.9989 0.5020 0.5022
Si 0.5028 0.9995 0.9965
Si 0.9995 0.5028 0.9965

Peak list (10 most intense, 2θ = 10–90°, by angle)
- d = 5.838 Å, I 17
- d = 2.957 Å, I 24
- d = 2.934 Å, I 22
- d = 2.643 Å, I 16
- d = 2.408 Å, I 53
- d = 2.402 Å, I 32
- d = 2.093 Å, I 62
- d = 2.084 Å, I 100
- d = 2.078 Å, I 24
- d = 2.069 Å, I 61